(1)
For Ti2AlPd3, a structure optimized by DFT (PBE) gives the theoretical powder XRD pattern in this record (Cu Kα X-rays).
Lines closer than 0.1° are merged.

Main lines, sorted by position (2θ from 10° to 90°):
d (Å), I (rel.)
3.598, 17
2.929, 11
2.918, 11
2.269, 100
2.070, 19
2.065, 19
1.799, 11
1.792, 10
1.357, 19
1.231, 7
1.229, 13
1.110, 7

Crystal structure
```
data_Ti2AlPd3
_chemical_formula_sum 'Ti4 Al2 Pd6'
_symmetry_space_group_name_H-M 'P 1'
_symmetry_Int_Tables_number 1
_cell_length_a 4.1392
_cell_length_b 7.1957
_cell_length_c 6.5243
_cell_angle_alpha 90.00
_cell_angle_beta 108.29
_cell_angle_gamma 90.00
loop_
_symmetry_equiv_pos_as_xyz
'x,y,z'
loop_
_atom_site_label
_atom_site_type_symbol
_atom_site_fract_x
_atom_site_fract_y
_atom_site_fract_z
Ti1 Ti 0.0000 0.0000 0.0000
Ti2 Ti 0.0000 0.5000 0.0000
Ti3 Ti 0.3346 0.0000 0.6695
Ti4 Ti 0.6654 0.0000 0.3305
Al1 Al 0.3325 0.5000 0.6652
Al2 Al 0.6675 0.5000 0.3348
Pd1 Pd 0.1668 0.2672 0.3333
Pd2 Pd 0.1668 0.7328 0.3333
Pd3 Pd 0.5000 0.2639 0.0000
Pd4 Pd 0.5000 0.7361 0.0000
Pd5 Pd 0.8332 0.2672 0.6667
Pd6 Pd 0.8332 0.7328 0.6667
```

=====

(2)
For Ti2Al6Pd, a structure optimized by DFT (PBE) gives the theoretical powder XRD pattern in this record (Cu Kα X-rays).
Lines closer than 0.1° are merged.

Main lines, sorted by position (2θ from 10° to 90°):
d (Å), I (rel.)
6.414, 70
3.880, 64
2.707, 100
2.497, 18
2.297, 47
2.188, 48
2.183, 48
2.138, 85
1.955, 30
1.946, 29
1.919, 17
1.912, 18

Crystal structure
```
data_Ti2Al6Pd
_chemical_formula_sum 'Ti2 Al6 Pd1'
_symmetry_space_group_name_H-M 'P 1'
_symmetry_Int_Tables_number 1
_cell_length_a 7.7858
_cell_length_b 7.7858
_cell_length_c 2.9863
_cell_angle_alpha 90.25
_cell_angle_beta 90.25
_cell_angle_gamma 55.47
loop_
_symmetry_equiv_pos_as_xyz
'x,y,z'
loop_
_atom_site_label
_atom_site_type_symbol
_atom_site_fract_x
_atom_site_fract_y
_atom_site_fract_z
Ti1 Ti 0.1916 0.1916 0.4994
Ti2 Ti 0.8084 0.8084 0.5006
Al1 Al 0.1546 0.5245 0.0013
Al2 Al 0.1893 0.8107 0.5000
Al3 Al 0.4755 0.8454 0.9987
Al4 Al 0.5245 0.1546 0.0013
Al5 Al 0.8107 0.1893 0.5000
Al6 Al 0.8454 0.4755 0.9987
Pd1 Pd 0.5000 0.5000 0.0000
```

=====

(3)
For Ti4Al2Pd, a structure optimized by DFT (PBE) gives the theoretical powder XRD pattern in this record (Cu Kα X-rays).
Lines closer than 0.1° are merged.

Main lines, sorted by position (2θ from 10° to 90°):
d (Å), I (rel.)
4.100, 43
4.003, 65
2.695, 37
2.464, 47
2.457, 52
2.355, 81
2.347, 100
2.242, 90
2.160, 64
2.118, 42
1.787, 34
1.169, 34

Crystal structure
```
data_Ti4Al2Pd
_chemical_formula_sum 'Ti8 Al4 Pd2'
_symmetry_space_group_name_H-M 'P 1'
_symmetry_Int_Tables_number 1
_cell_length_a 6.8598
_cell_length_b 5.3897
_cell_length_c 7.1265
_cell_angle_alpha 90.00
_cell_angle_beta 117.60
_cell_angle_gamma 90.00
loop_
_symmetry_equiv_pos_as_xyz
'x,y,z'
loop_
_atom_site_label
_atom_site_type_symbol
_atom_site_fract_x
_atom_site_fract_y
_atom_site_fract_z
Ti1 Ti 0.0208 0.2500 0.0292
Ti2 Ti 0.1386 0.5022 0.7194
Ti3 Ti 0.1386 0.9978 0.7194
Ti4 Ti 0.2652 0.7500 0.3963
Ti5 Ti 0.7348 0.2500 0.6037
Ti6 Ti 0.8614 0.0022 0.2806
Ti7 Ti 0.8614 0.4978 0.2806
Ti8 Ti 0.9792 0.7500 0.9708
Al1 Al 0.2690 0.2500 0.4589
Al2 Al 0.4352 0.7500 0.1020
Al3 Al 0.5648 0.2500 0.8980
Al4 Al 0.7310 0.7500 0.5411
Pd1 Pd 0.4443 0.2500 0.1908
Pd2 Pd 0.5557 0.7500 0.8092
```

=====

(4)
For Al2TlPd7, a structure optimized by DFT (PBE) gives the theoretical powder XRD pattern in this record (Cu Kα X-rays).
Lines closer than 0.1° are merged.

Main lines, sorted by position (2θ from 10° to 90°):
d (Å), I (rel.)
3.492, 9
2.916, 12
2.796, 36
2.509, 38
2.460, 21
2.180, 100
2.062, 54
1.580, 21
1.458, 18
1.266, 17
1.254, 10
1.212, 30

Crystal structure
```
data_Al2TlPd7
_chemical_formula_sum 'Al2 Tl1 Pd7'
_symmetry_space_group_name_H-M 'P 1'
_symmetry_Int_Tables_number 1
_cell_length_a 10.2639
_cell_length_b 10.2639
_cell_length_c 10.2639
_cell_angle_alpha 156.82
_cell_angle_beta 156.82
_cell_angle_gamma 33.01
loop_
_symmetry_equiv_pos_as_xyz
'x,y,z'
loop_
_atom_site_label
_atom_site_type_symbol
_atom_site_fract_x
_atom_site_fract_y
_atom_site_fract_z
Al1 Al 0.1758 0.1758 0.0000
Al2 Al 0.8242 0.8242 0.0000
Tl1 Tl 0.5000 0.5000 0.0000
Pd1 Pd 0.0000 0.0000 0.0000
Pd2 Pd 0.1032 0.6032 0.5000
Pd3 Pd 0.2500 0.7500 0.5000
Pd4 Pd 0.3968 0.8968 0.5000
Pd5 Pd 0.6032 0.1032 0.5000
Pd6 Pd 0.7500 0.2500 0.5000
Pd7 Pd 0.8968 0.3968 0.5000
```

=====

(5)
For Tm2AlPd2, a structure optimized by DFT (PBE) gives the theoretical powder XRD pattern in this record (Cu Kα X-rays).
Lines closer than 0.1° are merged.

Main lines, sorted by position (2θ from 10° to 90°):
d (Å), I (rel.)
5.242, 20
3.706, 15
2.639, 13
2.486, 100
2.344, 23
1.879, 11
1.747, 11
1.622, 16
1.466, 10
1.293, 12
1.279, 8
1.172, 10

Crystal structure
```
data_Tm2AlPd2
_chemical_formula_sum 'Tm8 Al4 Pd8'
_symmetry_space_group_name_H-M 'P 1'
_symmetry_Int_Tables_number 1
_cell_length_a 7.4130
_cell_length_b 7.4130
_cell_length_c 7.5151
_cell_angle_alpha 90.00
_cell_angle_beta 90.00
_cell_angle_gamma 90.00
loop_
_symmetry_equiv_pos_as_xyz
'x,y,z'
loop_
_atom_site_label
_atom_site_type_symbol
_atom_site_fract_x
_atom_site_fract_y
_atom_site_fract_z
Tm1 Tm 0.1734 0.3271 0.0000
Tm2 Tm 0.1729 0.3266 0.5000
Tm3 Tm 0.3271 0.8266 0.0000
Tm4 Tm 0.3266 0.8271 0.5000
Tm5 Tm 0.6729 0.1734 0.0000
Tm6 Tm 0.6734 0.1729 0.5000
Tm7 Tm 0.8266 0.6729 0.0000
Tm8 Tm 0.8271 0.6734 0.5000
Al1 Al 0.0000 0.0000 0.2487
Al2 Al 0.0000 0.0000 0.7513
Al3 Al 0.5000 0.5000 0.2513
Al4 Al 0.5000 0.5000 0.7487
Pd1 Pd 0.1339 0.6339 0.2500
Pd2 Pd 0.1339 0.6339 0.7500
Pd3 Pd 0.3661 0.1339 0.2500
Pd4 Pd 0.3661 0.1339 0.7500
Pd5 Pd 0.6339 0.8661 0.2500
Pd6 Pd 0.6339 0.8661 0.7500
Pd7 Pd 0.8661 0.3661 0.2500
Pd8 Pd 0.8661 0.3661 0.7500
```

=====

(6)
For Tm5Al4Pd, a structure optimized by DFT (PBE) gives the theoretical powder XRD pattern in this record (Cu Kα X-rays).
Lines closer than 0.1° are merged.

Main lines, sorted by position (2θ from 10° to 90°):
d (Å), I (rel.)
3.540, 44
3.519, 21
2.503, 51
2.496, 100
2.040, 19
1.770, 18
1.759, 9
1.582, 18
1.576, 8
1.444, 37
1.439, 17
1.248, 11

Crystal structure
```
data_Tm5Al4Pd
_chemical_formula_sum 'Tm5 Al4 Pd1'
_symmetry_space_group_name_H-M 'P 1'
_symmetry_Int_Tables_number 1
_cell_length_a 3.5403
_cell_length_b 3.5403
_cell_length_c 17.5942
_cell_angle_alpha 90.00
_cell_angle_beta 90.00
_cell_angle_gamma 90.00
loop_
_symmetry_equiv_pos_as_xyz
'x,y,z'
loop_
_atom_site_label
_atom_site_type_symbol
_atom_site_fract_x
_atom_site_fract_y
_atom_site_fract_z
Tm1 Tm 0.0000 0.0000 0.0000
Tm2 Tm 0.0000 0.0000 0.2022
Tm3 Tm 0.0000 0.0000 0.4058
Tm4 Tm 0.0000 0.0000 0.5942
Tm5 Tm 0.0000 0.0000 0.7978
Al1 Al 0.5000 0.5000 0.1008
Al2 Al 0.5000 0.5000 0.3027
Al3 Al 0.5000 0.5000 0.6973
Al4 Al 0.5000 0.5000 0.8992
Pd1 Pd 0.5000 0.5000 0.5000
```

=====

(7)
For TmAl9Pd2, a structure optimized by DFT (PBE) gives the theoretical powder XRD pattern in this record (Cu Kα X-rays).
Lines closer than 0.1° are merged.

Main lines, sorted by position (2θ from 10° to 90°):
d (Å), I (rel.)
3.978, 100
3.241, 24
2.978, 19
2.740, 68
2.672, 33
2.460, 61
2.390, 33
2.334, 33
1.989, 38
1.913, 23
1.620, 21
1.594, 19

Crystal structure
```
data_TmAl9Pd2
_chemical_formula_sum 'Tm2 Al18 Pd4'
_symmetry_space_group_name_H-M 'P 1'
_symmetry_Int_Tables_number 1
_cell_length_a 8.3653
_cell_length_b 8.3653
_cell_length_c 8.3653
_cell_angle_alpha 100.60
_cell_angle_beta 100.60
_cell_angle_gamma 129.21
loop_
_symmetry_equiv_pos_as_xyz
'x,y,z'
loop_
_atom_site_label
_atom_site_type_symbol
_atom_site_fract_x
_atom_site_fract_y
_atom_site_fract_z
Tm1 Tm 0.3750 0.6250 0.7500
Tm2 Tm 0.6250 0.3750 0.2500
Al1 Al 0.1250 0.8750 0.2500
Al2 Al 0.1303 0.5570 0.3297
Al3 Al 0.1303 0.8006 0.5733
Al4 Al 0.1994 0.2727 0.3297
Al5 Al 0.1994 0.8697 0.9267
Al6 Al 0.2727 0.1994 0.8297
Al7 Al 0.2727 0.4430 0.0733
Al8 Al 0.4430 0.2727 0.5733
Al9 Al 0.4430 0.8697 0.1703
Al10 Al 0.5570 0.1303 0.8297
Al11 Al 0.5570 0.7273 0.4267
Al12 Al 0.7273 0.5570 0.9267
Al13 Al 0.7273 0.8006 0.1703
Al14 Al 0.8006 0.1303 0.0733
Al15 Al 0.8006 0.7273 0.6703
Al16 Al 0.8697 0.1994 0.4267
Al17 Al 0.8697 0.4430 0.6703
Al18 Al 0.8750 0.1250 0.7500
Pd1 Pd 0.0000 0.0000 0.0000
Pd2 Pd 0.0000 0.0000 0.5000
Pd3 Pd 0.0000 0.5000 0.0000
Pd4 Pd 0.5000 0.0000 0.5000
```

=====

(8)
For Tm3Al7Pd4, a structure optimized by DFT (PBE) gives the theoretical powder XRD pattern in this record (Cu Kα X-rays).
Lines closer than 0.1° are merged.

Main lines, sorted by position (2θ from 10° to 90°):
d (Å), I (rel.)
3.932, 41
3.873, 34
3.850, 27
3.289, 26
3.009, 87
2.687, 31
2.564, 99
2.519, 100
2.503, 92
2.476, 44
2.190, 29
2.127, 91

Crystal structure
```
data_Tm3Al7Pd4
_chemical_formula_sum 'Tm3 Al7 Pd4'
_symmetry_space_group_name_H-M 'P 1'
_symmetry_Int_Tables_number 1
_cell_length_a 8.0713
_cell_length_b 8.0713
_cell_length_c 9.3870
_cell_angle_alpha 123.50
_cell_angle_beta 123.50
_cell_angle_gamma 30.55
loop_
_symmetry_equiv_pos_as_xyz
'x,y,z'
loop_
_atom_site_label
_atom_site_type_symbol
_atom_site_fract_x
_atom_site_fract_y
_atom_site_fract_z
Tm1 Tm 0.0000 0.0000 0.0000
Tm2 Tm 0.3068 0.3068 0.3048
Tm3 Tm 0.6932 0.6932 0.6952
Al1 Al 0.0000 0.0000 0.5000
Al2 Al 0.1502 0.1502 0.4212
Al3 Al 0.3190 0.3190 0.9748
Al4 Al 0.4953 0.4953 0.7033
Al5 Al 0.5047 0.5047 0.2967
Al6 Al 0.6810 0.6810 0.0252
Al7 Al 0.8498 0.8498 0.5788
Pd1 Pd 0.1175 0.1175 0.8398
Pd2 Pd 0.3374 0.3374 0.7174
Pd3 Pd 0.6626 0.6626 0.2826
Pd4 Pd 0.8825 0.8825 0.1602
```